Entry 1:
Simulated XRD peak list of KMn3Cl9 for copper Kα, from a GGA-PBE-relaxed structure.
Lines closer than 0.1° are merged.

Cell and atoms:
```
26
Lattice="10.204 -4.287 0.000 10.204 4.287 0.000 -8.537 0.000 10.874" Properties=species:S:1:pos:R:3 pbc="T T T"
K 5.935 2.432 5.437
K 10.204 -2.432 0.000
Mn -3.938 1.038 9.211
Mn 0.330 -1.038 3.774
Mn 1.701 0.626 7.382
Mn 5.969 -0.626 1.945
Mn 13.354 0.657 2.412
Mn 9.086 -0.657 7.849
Cl 1.056 0.798 2.771
Cl 8.353 3.198 3.412
Cl 5.948 0.968 0.230
Cl -3.212 -0.798 8.208
Cl 4.677 0.295 3.480
Cl 3.821 1.220 7.468
Cl 0.409 -0.295 8.917
Cl 1.680 -0.968 5.667
Cl 11.157 1.099 3.013
Cl 8.552 0.552 6.095
Cl 15.179 1.602 1.354
Cl 8.089 -1.220 2.031
Cl 12.820 -0.552 0.658
Cl 6.889 -1.099 8.449
Cl 14.215 0.539 4.434
Cl 4.085 -3.198 8.849
Cl 9.946 -0.539 9.871
Cl 10.910 -1.602 6.791
```

The 10 most intense peaks (15° ≤ 2θ ≤ 90°), low angle first:
- 2θ = 16.10°, intensity 100
- 2θ = 16.30°, intensity 25
- 2θ = 17.72°, intensity 85
- 2θ = 19.56°, intensity 22
- 2θ = 22.53°, intensity 33
- 2θ = 22.75°, intensity 21
- 2θ = 24.16°, intensity 18
- 2θ = 27.36°, intensity 15
- 2θ = 28.73°, intensity 38
- 2θ = 35.61°, intensity 15

Entry 2:
Simulated XRD peak list of K4Mn3Cl10 for copper Kα, from a GGA-PBE-relaxed structure.
Lines closer than 0.1° are merged.

Cell and atoms:
```
17
Lattice="-2.531 2.531 17.880 2.531 -2.531 17.880 2.531 2.531 -17.880" Properties=species:S:1:pos:R:3 pbc="T T T"
K 0.000 0.000 2.436
K 0.000 0.000 7.160
K 0.000 0.000 28.600
K 0.000 0.000 33.324
Mn 0.000 0.000 12.759
Mn 0.000 0.000 17.880
Mn 0.000 0.000 23.001
Cl 2.531 0.000 0.000
Cl 2.531 0.000 5.002
Cl 0.000 0.000 10.297
Cl 2.531 0.000 12.878
Cl 0.000 0.000 15.358
Cl 0.000 2.531 0.000
Cl 0.000 0.000 20.402
Cl 0.000 2.531 5.002
Cl 0.000 0.000 25.463
Cl 0.000 2.531 12.878
```

The 10 most intense peaks (15° ≤ 2θ ≤ 90°), low angle first:
- 2θ = 17.70°, intensity 31
- 2θ = 24.76°, intensity 32
- 2θ = 24.88°, intensity 37
- 2θ = 29.10°, intensity 14
- 2θ = 32.04°, intensity 45
- 2θ = 35.13°, intensity 41
- 2θ = 35.47°, intensity 100
- 2θ = 50.78°, intensity 50
- 2θ = 51.04°, intensity 32
- 2θ = 63.47°, intensity 24

Entry 3:
Simulated XRD peak list of K3NaMn2Cl8 for copper Kα, from a GGA-PBE-relaxed structure.
Lines closer than 0.1° are merged.

Cell and atoms:
```
14
Lattice="7.415 0.000 0.000 -3.707 6.421 0.000 0.000 0.000 9.009" Properties=species:S:1:pos:R:3 pbc="T T T"
K 0.000 0.000 0.000
K 0.000 4.281 5.486
K 3.707 2.140 3.523
Na 0.000 0.000 4.504
Mn 0.000 4.281 1.757
Mn 3.707 2.140 7.252
Cl 0.000 2.156 2.792
Cl -1.841 5.343 2.792
Cl 0.000 4.281 8.481
Cl 1.867 1.078 6.216
Cl 1.841 5.343 2.792
Cl 3.707 2.140 0.528
Cl 5.548 1.078 6.216
Cl 3.707 4.266 6.216
```

The 10 most intense peaks (15° ≤ 2θ ≤ 90°), low angle first:
- 2θ = 16.96°, intensity 51
- 2θ = 24.00°, intensity 100
- 2θ = 27.79°, intensity 32
- 2θ = 29.54°, intensity 41
- 2θ = 32.93°, intensity 52
- 2θ = 34.30°, intensity 79
- 2θ = 42.24°, intensity 26
- 2θ = 48.21°, intensity 32
- 2θ = 49.15°, intensity 53
- 2θ = 49.43°, intensity 37

Entry 4:
Simulated XRD peak list of K3NaMnCl6 for copper Kα, from a GGA-PBE-relaxed structure.
Lines closer than 0.1° are merged.

Cell and atoms:
```
22
Lattice="6.112 3.529 4.681 -6.112 3.529 4.681 0.000 -7.057 4.681" Properties=species:S:1:pos:R:3 pbc="T T T"
K -3.806 0.465 5.852
K -2.306 -3.063 8.192
K 1.500 -3.529 5.852
K -1.500 3.529 8.192
K 2.306 3.063 5.852
K 3.806 -0.465 8.192
Na 0.000 0.000 3.511
Na 0.000 0.000 10.533
Mn 0.000 0.000 0.000
Mn 0.000 0.000 7.022
Cl -5.345 -1.623 7.839
Cl -1.266 -5.440 6.205
Cl -1.266 -1.617 5.498
Cl -4.078 3.817 6.205
Cl -0.767 1.905 5.498
Cl -2.033 0.288 8.545
Cl 2.033 -0.288 5.498
Cl 0.767 -1.905 8.545
Cl 4.078 -3.817 7.839
Cl 1.266 1.617 8.545
Cl 1.266 5.440 7.839
Cl 5.345 1.623 6.205
```

The 10 most intense peaks (15° ≤ 2θ ≤ 90°), low angle first:
- 2θ = 15.14°, intensity 45
- 2θ = 25.24°, intensity 23
- 2θ = 30.56°, intensity 18
- 2θ = 31.12°, intensity 61
- 2θ = 33.07°, intensity 29
- 2θ = 33.97°, intensity 53
- 2θ = 35.07°, intensity 100
- 2θ = 45.41°, intensity 32
- 2θ = 51.82°, intensity 21
- 2θ = 67.42°, intensity 17